# 1
This entry pairs a crystal structure of LaHoGa2Pt5 with its simulated powder diffraction line list. Radiation: a wavelength of 1.5418 Å. Structure: a cell relaxed with GGA-PBE.
Peak positions follow from Bragg's law for the DFT cell and can differ from measured ones.

Principal peaks in the range 2θ = 5–70°, low angle first:
index, 2θ/deg, intensity
0 0 1, 9.5, 7
0 0 2, 19.0, 5
1 1 2, 35.5, 100
1 0 3, 35.7, 7
0 0 4, 38.5, 14
1 1 3, 41.7, 11
2 0 0, 42.5, 40
2 0 4, 58.7, 17
2 2 0, 61.6, 13
1 1 6, 67.7, 13

Structure:
```
data_LaHoGa2Pt5
_space_group_name_H-M_alt 'P 4/m m m'
_space_group_IT_number 123
_space_group_name_Hall '-P 4 2'
_cell_length_a 4.2560
_cell_length_b 4.2560
_cell_length_c 9.3526
_cell_angle_alpha 90.00
_cell_angle_beta 90.00
_cell_angle_gamma 90.00
loop_
_atom_site_label
_atom_site_type_symbol
_atom_site_fract_x
_atom_site_fract_y
_atom_site_fract_z
La1 La 0.0000 0.0000 0.0000
Ho1 Ho 0.0000 0.0000 0.5000
Ga1 Ga 0.5000 0.5000 0.3703
Pt1 Pt 0.0000 0.5000 0.2336
Pt2 Pt 0.5000 0.5000 0.0000
```

# 2
This entry pairs a crystal structure of Li2Ho3Ga7 with its simulated powder diffraction line list. Radiation: a wavelength of 1.5418 Å. Structure: a cell relaxed with GGA-PBE.
Peak positions follow from Bragg's law for the DFT cell and can differ from measured ones.

Principal peaks in the range 2θ = 5–70°, low angle first:
index, 2θ/deg, intensity
0 6 1, 29.7, 26
1 5 1, 34.9, 100
1 7 1, 38.7, 19
0 12 0, 40.5, 13
2 0 0, 42.8, 22
1 11 0, 43.0, 13
0 0 2, 44.4, 19
2 6 1, 52.9, 12
2 0 2, 63.4, 13
1 17 1, 67.7, 16

Structure:
```
data_Li2Ho3Ga7
_space_group_name_H-M_alt 'C m m m'
_space_group_IT_number 65
_space_group_name_Hall '-C 2 2'
_cell_length_a 4.2301
_cell_length_b 26.6997
_cell_length_c 4.0779
_cell_angle_alpha 90.00
_cell_angle_beta 90.00
_cell_angle_gamma 90.00
loop_
_atom_site_label
_atom_site_type_symbol
_atom_site_fract_x
_atom_site_fract_y
_atom_site_fract_z
Li1 Li 0.0000 0.1363 0.0000
Ho1 Ho 0.0000 0.3244 0.5000
Ho2 Ho 0.0000 0.5000 0.5000
Ga1 Ga 0.0000 0.0000 0.0000
Ga2 Ga 0.0000 0.0821 0.5000
Ga3 Ga 0.0000 0.2258 0.0000
Ga4 Ga 0.0000 0.4162 0.0000
```

# 3
This entry pairs a crystal structure of Li4Ho3Ga4 with its simulated powder diffraction line list. Radiation: a wavelength of 1.5418 Å. Structure: a cell relaxed with GGA-PBE.
Peak positions follow from Bragg's law for the DFT cell and can differ from measured ones.

Principal peaks in the range 2θ = 5–70°, low angle first:
index, 2θ/deg, intensity
0 0 2, 12.3, 20
1 0 1, 20.6, 30
0 1 3, 22.7, 16
0 2 0, 26.5, 28
1 0 3, 27.1, 15
1 2 1, 33.8, 100
1 1 4, 34.5, 89
2 0 0, 40.0, 24
0 3 5, 51.7, 16
2 1 5, 53.3, 16

Structure:
```
data_Li4Ho3Ga4
_space_group_name_H-M_alt 'I m m m'
_space_group_IT_number 71
_space_group_name_Hall '-I 2 2'
_cell_length_a 4.5104
_cell_length_b 6.7150
_cell_length_c 14.4254
_cell_angle_alpha 90.00
_cell_angle_beta 90.00
_cell_angle_gamma 90.00
loop_
_atom_site_label
_atom_site_type_symbol
_atom_site_fract_x
_atom_site_fract_y
_atom_site_fract_z
Li1 Li 0.0000 0.1906 0.1725
Ho1 Ho 0.0000 0.0000 0.3786
Ho2 Ho 0.0000 0.5000 0.5000
Ga1 Ga 0.0000 0.3066 0.0000
Ga2 Ga 0.0000 0.5000 0.2857
```

# 4
This entry pairs a crystal structure of LiHoGa4Ru2 with its simulated powder diffraction line list. Radiation: a wavelength of 1.5418 Å. Structure: a cell relaxed with GGA-PBE.
Peak positions follow from Bragg's law for the DFT cell and can differ from measured ones.

Principal peaks in the range 2θ = 5–70°, low angle first:
index, 2θ/deg, intensity
1 0 1, 24.4, 25
0 1 5, 30.1, 58
1 0 7, 34.9, 14
0 1 8, 37.7, 85
1 1 0, 42.5, 100
0 1 11, 46.8, 12
2 0 5, 53.0, 12
1 0 13, 53.6, 16
1 1 9, 54.3, 14
2 0 8, 58.1, 24

Structure:
```
data_LiHoGa4Ru2
_space_group_name_H-M_alt 'R -3 m'
_space_group_IT_number 166
_space_group_name_Hall '-R 3 2"'
_cell_length_a 4.2497
_cell_length_b 4.2497
_cell_length_c 25.1263
_cell_angle_alpha 90.00
_cell_angle_beta 90.00
_cell_angle_gamma 120.00
loop_
_atom_site_label
_atom_site_type_symbol
_atom_site_fract_x
_atom_site_fract_y
_atom_site_fract_z
Li1 Li 0.0000 0.0000 0.0000
Ho1 Ho 0.0000 0.0000 0.5000
Ga1 Ga 0.0000 0.0000 0.1020
Ga2 Ga 0.0000 0.0000 0.3691
Ru1 Ru 0.0000 0.0000 0.2652
```

# 5
This entry pairs a crystal structure of HoMg4Ga4 with its simulated powder diffraction line list. Radiation: a wavelength of 1.5418 Å. Structure: a cell relaxed with GGA-PBE.
Peak positions follow from Bragg's law for the DFT cell and can differ from measured ones.

Principal peaks in the range 2θ = 5–70°, low angle first:
index, 2θ/deg, intensity
1 0 1, 16.7, 33
2 0 0, 27.1, 21
1 1 2, 27.7, 61
2 0 1, 28.9, 42
2 1 1, 32.0, 100
1 0 3, 33.0, 47
2 0 3, 40.9, 32
3 1 0, 43.4, 19
2 2 2, 43.8, 38
3 0 3, 51.7, 27

Structure:
```
data_HoMg4Ga4
_space_group_name_H-M_alt 'P 42/n m c'
_space_group_IT_number 137
_cell_length_a 6.5897
_cell_length_b 6.5897
_cell_length_c 8.9288
_cell_angle_alpha 90.00
_cell_angle_beta 90.00
_cell_angle_gamma 90.00
loop_
_space_group_symop_operation_xyz
'x,y,z'
'-x,-y,-z'
'-y+1/2,x,z+1/2'
'y+1/2,-x,-z+1/2'
'-x+1/2,-y+1/2,z'
'x+1/2,y+1/2,-z'
'y,-x+1/2,z+1/2'
'-y,x+1/2,-z+1/2'
'x+1/2,-y,-z'
'-x+1/2,y,z'
'-y,-x,-z+1/2'
'y,x,z+1/2'
'-x,y+1/2,-z'
'x,-y+1/2,z'
'y+1/2,x+1/2,-z+1/2'
'-y+1/2,-x+1/2,z+1/2'
loop_
_atom_site_label
_atom_site_type_symbol
_atom_site_fract_x
_atom_site_fract_y
_atom_site_fract_z
Ho1 Ho 0.2500 0.7500 0.2500
Mg1 Mg 0.0109 0.2500 0.1515
Ga1 Ga 0.0455 0.2500 0.4565
```

# 6
This entry pairs a crystal structure of HoMg2Ga2 with its simulated powder diffraction line list. Radiation: a wavelength of 1.5418 Å. Structure: a cell relaxed with GGA-PBE.
Peak positions follow from Bragg's law for the DFT cell and can differ from measured ones.

Principal peaks in the range 2θ = 5–70°, low angle first:
index, 2θ/deg, intensity
0 0 2, 7.4, 100
1 1 2, 30.8, 45
1 1 4, 33.5, 55
1 0 7, 33.9, 28
0 1 9, 40.0, 22
0 2 0, 42.2, 16
2 0 0, 43.2, 15
0 1 11, 46.9, 12
1 2 7, 55.2, 14
2 1 9, 60.3, 13

Structure:
```
data_HoMg2Ga2
_space_group_name_H-M_alt 'I m m a'
_space_group_IT_number 74
_space_group_name_Hall '-I 2b 2'
_cell_length_a 4.1877
_cell_length_b 4.2859
_cell_length_c 23.8705
_cell_angle_alpha 90.00
_cell_angle_beta 90.00
_cell_angle_gamma 90.00
loop_
_atom_site_label
_atom_site_type_symbol
_atom_site_fract_x
_atom_site_fract_y
_atom_site_fract_z
Ho1 Ho 0.0000 0.2500 0.0757
Mg1 Mg 0.0000 0.2500 0.3007
Mg2 Mg 0.0000 0.2500 0.8005
Ga1 Ga 0.0000 0.2500 0.5250
Ga2 Ga 0.0000 0.2500 0.6267
```